Starting from a crystal structure in Alexandria, relaxed with GGA-PBE, the PXRD pattern of Pm4Cd5Sn6 was simulated for Cu Kα.
Intensities are scaled so that the largest is 100.

a = 10.603 Å, b = 10.603 Å, c = 16.898 Å
α = 90.00°, β = 90.00°, γ = 154.30°
Fractional positions:
1 Pm 0.023 0.977 0.500
2 Pm 0.033 0.967 0.768
3 Pm 0.164 0.836 0.303
4 Pm 0.173 0.827 0.946
5 Pm 0.827 0.173 0.446
6 Pm 0.836 0.164 0.803
7 Pm 0.967 0.033 0.268
8 Pm 0.977 0.023 0.000
9 Cd 0.153 0.847 0.630
10 Cd 0.302 0.698 0.623
11 Cd 0.346 0.654 0.280
12 Cd 0.348 0.652 0.987
13 Cd 0.433 0.567 0.695
14 Cd 0.567 0.433 0.195
15 Cd 0.652 0.348 0.487
16 Cd 0.654 0.346 0.780
17 Cd 0.698 0.302 0.123
18 Cd 0.847 0.153 0.130
19 Sn 0.106 0.894 0.114
20 Sn 0.228 0.772 0.479
21 Sn 0.234 0.766 0.773
22 Sn 0.430 0.570 0.421
23 Sn 0.436 0.564 0.133
24 Sn 0.440 0.560 0.861
25 Sn 0.560 0.440 0.361
26 Sn 0.564 0.436 0.633
27 Sn 0.570 0.430 0.921
28 Sn 0.766 0.234 0.273
29 Sn 0.772 0.228 0.979
30 Sn 0.894 0.106 0.614

Peak list (10 most intense, 5° ≤ 2θ ≤ 70°, sorted by position)
2θ = 28.70°, I = 30
2θ = 29.20°, I = 21
2θ = 30.64°, I = 13
2θ = 31.25°, I = 19
2θ = 31.77°, I = 19
2θ = 32.91°, I = 100
2θ = 35.86°, I = 19
2θ = 38.16°, I = 45
2θ = 41.95°, I = 17
2θ = 44.14°, I = 19

***

Starting from a crystal structure in Alexandria, relaxed with GGA-PBE, the PXRD pattern of PaTlBr4 was simulated for Cu Kα.
Intensities are scaled so that the largest is 100.

a = 3.962 Å, b = 7.427 Å, c = 8.567 Å
α = 103.40°, β = 90.01°, γ = 105.27°
Fractional positions:
1 Pa 0.000 0.000 0.000
2 Tl 0.500 0.000 0.500
3 Br 0.124 0.251 0.313
4 Br 0.379 0.755 0.109
5 Br 0.621 0.245 0.891
6 Br 0.876 0.749 0.687

Peak list (10 most intense, 5° ≤ 2θ ≤ 70°, sorted by position)
2θ = 12.73°, I = 100
2θ = 21.37°, I = 20
2θ = 25.06°, I = 51
2θ = 27.51°, I = 46
2θ = 29.26°, I = 20
2θ = 29.93°, I = 82
2θ = 38.88°, I = 43
2θ = 39.71°, I = 17
2θ = 41.53°, I = 17
2θ = 43.15°, I = 15